Entry 1:
Diffraction record for Na2CaGeP2SO12. The XRD peak list is simulated, not measured: it uses the PBE geometry in the Materials Project and Cu Kα (λ = 1.5418 Å).
Lines closer than 0.1° are merged.

Principal peaks in the range 15° ≤ 2θ ≤ 90°, sorted by position:
2θ (°)  I/Imax
19.70  70.8
22.78  74.6
23.09  88.6
30.77  69.4
31.28  78.7
34.48  100.0

```
38
Lattice="7.749 -4.512 0.000 7.749 4.512 0.000 -5.423 0.000 7.442" Properties=species:S:1:pos:R:3 pbc="T T T"
Na 5.037 3.770 3.721
Na 6.115 2.035 0.557
Na 3.404 -2.035 4.278
Na 7.749 -3.770 0.000
Ca 3.158 2.269 1.824
Ca 0.446 -2.269 5.545
Ge 3.924 2.428 7.212
Ge 6.636 -2.428 3.491
P -1.757 0.451 6.233
P 0.955 -0.451 2.512
P 12.222 1.125 1.179
P 9.511 -1.125 4.900
S 5.313 0.733 4.281
S 8.024 -0.733 0.560
O 2.760 3.181 3.803
O -0.404 0.425 2.749
O -1.498 1.454 7.326
O 2.251 2.641 6.241
O -3.115 -0.425 6.470
O 2.095 0.451 2.203
O 8.324 3.277 1.147
O -0.617 -0.451 5.924
O 4.804 1.327 3.029
O 1.214 -1.454 3.605
O 4.412 1.064 5.449
O 8.049 0.770 0.453
O 6.658 1.238 4.450
O 10.783 1.807 0.853
O 2.093 -1.327 6.750
O 5.338 -0.770 4.174
O 7.124 -1.064 1.728
O 5.472 -3.181 0.082
O 4.962 -2.641 2.520
O 9.369 -1.238 0.729
O 9.375 0.344 5.273
O 12.087 -0.344 1.552
O 8.071 -1.807 4.574
O 5.613 -3.277 4.868
```

Entry 2:
Diffraction record for TmFe5P3. The XRD peak list is simulated, not measured: it uses the PBE geometry in the Materials Project and Cu Kα (λ = 1.5418 Å).
Lines closer than 0.1° are merged.

Principal peaks in the range 15° ≤ 2θ ≤ 90°, sorted by position:
2θ (°)  I/Imax
27.15  22.1
39.37  100.0
39.48  52.1
40.53  24.3
50.26  31.1
54.03  20.8

```
36
Lattice="11.742 0.000 0.000 0.000 3.631 0.000 0.000 0.000 10.224" Properties=species:S:1:pos:R:3 pbc="T T T"
Tm 2.405 0.908 0.831
Tm 3.466 2.723 5.944
Tm 8.276 0.908 4.281
Tm 9.337 2.723 9.393
Fe 0.119 2.723 0.966
Fe 0.146 2.723 7.228
Fe 0.789 2.723 4.737
Fe 2.070 0.908 7.981
Fe 2.350 0.908 3.857
Fe 3.521 2.723 8.969
Fe 3.802 2.723 2.869
Fe 5.082 0.908 9.850
Fe 5.726 0.908 2.116
Fe 5.752 0.908 6.078
Fe 5.990 2.723 4.146
Fe 6.017 2.723 8.109
Fe 6.660 2.723 0.375
Fe 7.941 0.908 7.356
Fe 8.221 0.908 1.255
Fe 9.393 2.723 6.367
Fe 9.673 2.723 2.243
Fe 10.954 0.908 5.487
Fe 11.597 0.908 2.996
Fe 11.623 0.908 9.258
P 1.238 2.723 9.193
P 1.333 0.908 5.917
P 1.521 2.723 2.717
P 4.350 0.908 7.829
P 4.538 2.723 0.805
P 4.633 0.908 4.081
P 7.109 2.723 6.143
P 7.205 0.908 9.419
P 7.392 2.723 2.395
P 10.222 0.908 7.507
P 10.409 2.723 4.307
P 10.505 0.908 1.031
```

Entry 3:
Diffraction record for Mn6Zn2CN. The XRD peak list is simulated, not measured: it uses the PBE geometry in the Materials Project and Cu Kα (λ = 1.5418 Å).
Lines closer than 0.1° are merged.

Principal peaks in the range 15° ≤ 2θ ≤ 90°, sorted by position:
2θ (°)  I/Imax
40.55  100.0
46.83  38.7
47.85  18.0
68.39  11.1
69.19  21.4
82.63  21.7

```
10
Lattice="3.880 0.000 0.000 0.000 3.880 0.000 0.000 0.000 7.604" Properties=species:S:1:pos:R:3 pbc="T T T"
Mn 0.000 0.000 1.892
Mn 0.000 0.000 5.712
Mn 0.000 1.940 0.000
Mn 0.000 1.940 3.802
Mn 1.940 0.000 0.000
Mn 1.940 0.000 3.802
Zn 1.940 1.940 1.912
Zn 1.940 1.940 5.691
C 0.000 0.000 3.802
N 0.000 0.000 0.000
```